(1)
Calculated powder diffraction line list of Ta3Ni20B6 for Cu Kα, from a structure optimized by DFT (GGA-PBE).
Lines closer than 0.1° are merged.

Structural model:
a = 7.462 Å, b = 7.462 Å, c = 7.462 Å
α = 60.00°, β = 60.00°, γ = 60.00°
Fractional coordinates of all 29 atoms:
Ta  0.000  0.000  0.000
Ta  0.250  0.250  0.250
Ta  0.750  0.750  0.750
Ni  0.000  0.000  0.343
Ni  0.000  0.000  0.657
Ni  0.000  0.343  0.000
Ni  0.000  0.343  0.657
Ni  0.000  0.657  0.000
Ni  0.000  0.657  0.343
Ni  0.154  0.615  0.615
Ni  0.343  0.000  0.000
Ni  0.343  0.000  0.657
Ni  0.343  0.657  0.000
Ni  0.385  0.385  0.385
Ni  0.385  0.385  0.846
Ni  0.385  0.846  0.385
Ni  0.615  0.154  0.615
Ni  0.615  0.615  0.154
Ni  0.615  0.615  0.615
Ni  0.657  0.000  0.000
Ni  0.657  0.000  0.343
Ni  0.657  0.343  0.000
Ni  0.846  0.385  0.385
B  0.267  0.267  0.733
B  0.267  0.733  0.267
B  0.267  0.733  0.733
B  0.733  0.267  0.267
B  0.733  0.267  0.733
B  0.733  0.733  0.267

The 10 most intense peaks (15 to 90 degrees two-theta), low angle first:
- 2θ = 23.85°, I 33
- 2θ = 28.04°, I 11
- 2θ = 38.14°, I 35
- 2θ = 41.94°, I 77
- 2θ = 44.62°, I 100
- 2θ = 48.82°, I 40
- 2θ = 55.04°, I 16
- 2θ = 66.28°, I 11
- 2θ = 76.61°, I 39
- 2θ = 78.49°, I 15

=====

(2)
Calculated powder diffraction line list of Ta3V3Ni40B12 for Cu Kα, from a structure optimized by DFT (GGA-PBE).
Lines closer than 0.1° are merged.

Structural model:
a = 12.852 Å, b = 12.852 Å, c = 12.852 Å
α = 33.69°, β = 33.69°, γ = 33.69°
Fractional coordinates of all 58 atoms:
Ta  0.000  0.000  0.000
Ta  0.125  0.125  0.125
Ta  0.625  0.625  0.625
V  0.250  0.250  0.250
V  0.500  0.500  0.500
V  0.750  0.750  0.750
Ni  0.053  0.053  0.577
Ni  0.053  0.577  0.053
Ni  0.078  0.554  0.554
Ni  0.126  0.468  0.782
Ni  0.126  0.782  0.468
Ni  0.170  0.698  0.698
Ni  0.204  0.204  0.660
Ni  0.204  0.660  0.204
Ni  0.282  0.625  0.968
Ni  0.282  0.968  0.625
Ni  0.297  0.297  0.953
Ni  0.297  0.953  0.297
Ni  0.297  0.953  0.953
Ni  0.315  0.315  0.315
Ni  0.434  0.434  0.434
Ni  0.453  0.453  0.796
Ni  0.453  0.796  0.453
Ni  0.453  0.797  0.797
Ni  0.468  0.126  0.782
Ni  0.468  0.782  0.126
Ni  0.554  0.078  0.554
Ni  0.554  0.554  0.078
Ni  0.577  0.053  0.053
Ni  0.625  0.282  0.968
Ni  0.625  0.968  0.282
Ni  0.660  0.204  0.204
Ni  0.698  0.170  0.698
Ni  0.698  0.698  0.170
Ni  0.782  0.126  0.468
Ni  0.782  0.468  0.126
Ni  0.796  0.453  0.453
Ni  0.797  0.453  0.797
Ni  0.797  0.797  0.453
Ni  0.816  0.816  0.816
Ni  0.932  0.932  0.932
Ni  0.953  0.297  0.297
Ni  0.953  0.297  0.953
Ni  0.953  0.953  0.297
Ni  0.968  0.282  0.625
Ni  0.968  0.625  0.282
B  0.025  0.492  0.492
B  0.225  0.758  0.758
B  0.259  0.259  0.724
B  0.259  0.724  0.259
B  0.492  0.025  0.492
B  0.492  0.492  0.025
B  0.526  0.991  0.991
B  0.724  0.259  0.259
B  0.758  0.225  0.758
B  0.758  0.758  0.225
B  0.991  0.526  0.991
B  0.991  0.991  0.526

The 10 most intense peaks (15 to 90 degrees two-theta), low angle first:
- 2θ = 28.14°, I 16
- 2θ = 42.05°, I 35
- 2θ = 42.19°, I 11
- 2θ = 44.75°, I 100
- 2θ = 44.90°, I 14
- 2θ = 48.92°, I 14
- 2θ = 49.06°, I 14
- 2θ = 52.16°, I 13
- 2θ = 76.79°, I 11
- 2θ = 77.04°, I 11

=====

(3)
Calculated powder diffraction line list of TbNi12B6 for Cu Kα, from a structure optimized by DFT (GGA-PBE).
Lines closer than 0.1° are merged.

Structural model:
a = 6.027 Å, b = 6.027 Å, c = 10.961 Å
α = 90.00°, β = 90.00°, γ = 75.23°
Fractional coordinates of all 38 atoms:
Tb  0.167  0.833  0.500
Tb  0.833  0.167  0.000
Ni  0.002  0.632  0.059
Ni  0.118  0.146  0.241
Ni  0.146  0.118  0.741
Ni  0.194  0.544  0.263
Ni  0.213  0.526  0.720
Ni  0.218  0.782  0.897
Ni  0.269  0.343  0.929
Ni  0.343  0.269  0.429
Ni  0.368  0.998  0.059
Ni  0.433  0.567  0.078
Ni  0.456  0.806  0.263
Ni  0.474  0.787  0.720
Ni  0.526  0.213  0.220
Ni  0.544  0.194  0.763
Ni  0.567  0.433  0.578
Ni  0.632  0.002  0.559
Ni  0.657  0.731  0.929
Ni  0.731  0.657  0.429
Ni  0.782  0.218  0.397
Ni  0.787  0.474  0.220
Ni  0.806  0.456  0.763
Ni  0.854  0.882  0.241
Ni  0.882  0.854  0.741
Ni  0.998  0.368  0.559
B  0.012  0.400  0.374
B  0.163  0.837  0.158
B  0.241  0.328  0.112
B  0.328  0.241  0.612
B  0.400  0.012  0.874
B  0.488  0.512  0.841
B  0.512  0.488  0.341
B  0.600  0.988  0.374
B  0.672  0.759  0.112
B  0.759  0.672  0.612
B  0.837  0.163  0.658
B  0.988  0.600  0.874

The 10 most intense peaks (15 to 90 degrees two-theta), low angle first:
- 2θ = 31.74°, I 59
- 2θ = 32.68°, I 27
- 2θ = 34.60°, I 19
- 2θ = 34.84°, I 47
- 2θ = 39.52°, I 69
- 2θ = 41.25°, I 74
- 2θ = 41.43°, I 100
- 2θ = 44.14°, I 42
- 2θ = 58.22°, I 25
- 2θ = 61.55°, I 27

=====

(4)
Calculated powder diffraction line list of Tb3Ni7B2 for Cu Kα, from a structure optimized by DFT (GGA-PBE).
Lines closer than 0.1° are merged.

Structural model:
a = 5.077 Å, b = 5.077 Å, c = 14.313 Å
α = 90.00°, β = 90.00°, γ = 120.00°
Fractional coordinates of all 24 atoms:
Tb  0.333  0.667  0.031
Tb  0.333  0.667  0.250
Tb  0.333  0.667  0.469
Tb  0.667  0.333  0.531
Tb  0.667  0.333  0.750
Tb  0.667  0.333  0.969
Ni  0.000  0.000  0.000
Ni  0.000  0.000  0.500
Ni  0.166  0.332  0.650
Ni  0.166  0.332  0.850
Ni  0.166  0.834  0.650
Ni  0.166  0.834  0.850
Ni  0.332  0.166  0.150
Ni  0.332  0.166  0.350
Ni  0.668  0.834  0.650
Ni  0.668  0.834  0.850
Ni  0.834  0.166  0.150
Ni  0.834  0.166  0.350
Ni  0.834  0.668  0.150
Ni  0.834  0.668  0.350
B  0.000  0.000  0.250
B  0.000  0.000  0.750
B  0.333  0.667  0.750
B  0.667  0.333  0.250

The 10 most intense peaks (15 to 90 degrees two-theta), low angle first:
- 2θ = 35.36°, I 48
- 2θ = 37.49°, I 100
- 2θ = 37.59°, I 23
- 2θ = 41.05°, I 23
- 2θ = 41.56°, I 71
- 2θ = 43.72°, I 96
- 2θ = 64.88°, I 44
- 2θ = 69.27°, I 23
- 2θ = 73.49°, I 29
- 2θ = 74.79°, I 25